# Ce4In3
Computed XRD peak list, Cu Kα (weighted mean of Kα1 and Kα2). Input: a structure optimized by DFT (PBE).

Principal peaks in the range 2θ from 10° to 90°, low angle first:
two_theta  I/Imax  (hkl)
29.56  36.7  1 1 0
33.12  56.0  1 1 1
34.20  100.0  1 0 2
37.42  39.0  2 0 1
54.74  13.2  3 0 1
55.45  34.1  2 1 2
57.61  22.7  2 0 3
61.35  19.7  2 2 0
72.14  18.8  3 1 2
87.33  9.6  3 2 2

Atomic structure:
```
data_Ce4In3
_chemical_formula_sum 'Ce4 In3'
_cell_length_a 6.0443
_cell_length_b 6.0443
_cell_length_c 6.0658
_cell_angle_alpha 90.00
_cell_angle_beta 90.00
_cell_angle_gamma 120.00
_symmetry_space_group_name_H-M 'P 6/m m m'
_symmetry_Int_Tables_number 191
_symmetry_space_group_name_Hall '-P 6 2'
loop_
_atom_site_label
_atom_site_type_symbol
_atom_site_fract_x
_atom_site_fract_y
_atom_site_fract_z
_atom_site_occupancy
Ce1 Ce 0.0000 0.0000 0.2210 1
Ce2 Ce 0.3333 0.6667 0.0000 1
In1 In 0.0000 0.5000 0.5000 1
```